Simulated powder diffraction line list
Compound: Hf3TaCo2
Radiation: a wavelength of 1.5418 Å
Structure: a PBE-relaxed structure

The 8 most intense peaks (10° ≤ 2θ ≤ 80°), most intense first:
2theta, I (rel.)
36.52, 100
36.39, 99
44.89, 47
62.17, 43
33.77, 37
39.66, 25
46.05, 22
64.23, 21

Structural model:
```
6
Lattice="0.000 4.389 4.412 2.654 0.000 4.412 2.654 4.389 0.000" Properties=species:S:1:pos:R:3 pbc="T T T"
Hf 0.000 0.000 0.000
Hf 2.654 2.904 5.858
Hf 2.654 5.873 5.858
Ta 2.654 4.389 2.935
Co 1.327 2.194 3.643
Co 3.981 6.583 8.055
```